Diffraction record for CoTcO3. The XRD peak list is calculated, not measured: it uses a DFT-relaxed cell (GGA+U, Alexandria) and Cu Kα (weighted mean of Kα1 and Kα2).
Intensities are scaled so that the largest is 100.

```
CoTcO3
1.0
2.612 1.508 4.664
-2.612 1.508 4.664
0.000 -3.016 4.664
Co Tc O
2 2 6
Direct
0.142 0.142 0.142
0.858 0.858 0.858
0.345 0.345 0.345
0.655 0.655 0.655
0.061 0.444 0.737
0.263 0.939 0.556
0.444 0.737 0.061
0.556 0.263 0.939
0.737 0.061 0.444
0.939 0.556 0.263
```

Largest 10 diffraction maxima, low angle first, 5° ≤ 2θ ≤ 70°:
2θ = 19.03°, I = 16; 2θ = 23.42°, I = 43; 2θ = 32.35°, I = 97; 2θ = 34.33°, I = 100; 2θ = 38.61°, I = 8; 2θ = 39.54°, I = 24; 2θ = 47.89°, I = 37; 2θ = 52.61°, I = 66; 2θ = 60.24°, I = 34; 2θ = 61.49°, I = 36